Record 1
For Ti2CdO6, a crystal structure in the Materials Project, relaxed with GGA-PBE gives the computed X-ray diffraction stick pattern in this record (Cu Ka).

Crystal structure
a b c (Å): 5.957 6.092 6.476
angles (deg): 90.00 95.21 90.00
Space group P2_1 (No. 4)
Unique sites:
Ti1 0.002 0.000 0.161 (multiplicity 2)
Ti2 0.459 0.425 0.529 (multiplicity 2)
Cd1 0.088 0.995 0.666 (multiplicity 2)
O1 0.042 0.789 0.957 (multiplicity 2)
O2 0.146 0.362 0.629 (multiplicity 2)
O3 0.261 0.036 0.307 (multiplicity 2)
O4 0.317 0.515 0.255 (multiplicity 2)
O5 0.350 0.737 0.610 (multiplicity 2)
O6 0.481 0.147 0.723 (multiplicity 2)

Top 10 peaks for 10° ≤ 2θ ≤ 90°, sorted by position:
| two_theta | Rel. int. | h k l |
| --- | --- | --- |
| 13.7 | 100.0 | 0 0 1 |
| 14.9 | 67.7 | 1 0 0 |
| 21.2 | 29.2 | 1 0 1 |
| 29.3 | 58.7 | 0 2 0 |
| 30.1 | 27.9 | 2 0 0 |
| 31.4 | 31.8 | 0 1 2 |
| 32.8 | 26.8 | 1 0 2 |
| 33.1 | 28.5 | 1 2 0 |
| 33.6 | 36.4 | 2 1 0 |
| 33.8 | 65.1 | 1 1 -2 |

Record 2
For TiCdO3, a crystal structure in the Materials Project, relaxed with GGA-PBE gives the computed X-ray diffraction stick pattern in this record (Cu Ka).

Crystal structure
a b c (Å): 7.692 5.401 5.523
angles (deg): 90.00 90.00 90.00
Space group Pmc2_1 (No. 26)
Unique sites:
Ti1 0.249 0.243 0.000 (multiplicity 4)
Cd1 0.000 0.261 0.526 (multiplicity 2)
Cd2 0.500 0.250 0.448 (multiplicity 2)
O1 0.000 0.162 0.943 (multiplicity 2)
O2 0.202 0.445 0.271 (multiplicity 4)
O3 0.295 0.050 0.673 (multiplicity 4)
O4 0.500 0.337 0.001 (multiplicity 2)

Top 10 peaks for 10° ≤ 2θ ≤ 90°, sorted by position:
| two_theta | Rel. int. | h k l |
| --- | --- | --- |
| 23.1 | 25.0 | 2 0 0 |
| 32.4 | 24.2 | 0 0 2 |
| 32.9 | 100.0 | 2 1 1 |
| 33.2 | 24.7 | 0 2 0 |
| 40.8 | 12.4 | 2 2 0 |
| 47.1 | 26.0 | 0 2 2 |
| 47.3 | 15.4 | 4 0 0 |
| 58.1 | 14.4 | 2 1 3 |
| 59.1 | 22.7 | 2 3 1 |
| 68.9 | 13.1 | 4 2 2 |

Record 3
For TiCdO3, a crystal structure in the Materials Project, relaxed with GGA-PBE gives the computed X-ray diffraction stick pattern in this record (Cu Ka).

Crystal structure
a b c (Å): 5.494 5.360 7.812
angles (deg): 90.00 90.00 90.00
Space group Pna2_1 (No. 33)
Unique sites:
Ti1 0.010 0.001 0.000 (multiplicity 4)
Cd1 0.037 0.489 0.252 (multiplicity 4)
O1 0.030 0.093 0.769 (multiplicity 4)
O2 0.189 0.698 0.969 (multiplicity 4)
O3 0.221 0.707 0.566 (multiplicity 4)

Top 10 peaks for 10° ≤ 2θ ≤ 90°, sorted by position:
| two_theta | Rel. int. | h k l |
| --- | --- | --- |
| 23.2 | 15.3 | 1 1 0 |
| 32.6 | 23.3 | 2 0 0 |
| 32.7 | 100.0 | 1 1 2 |
| 33.4 | 22.6 | 0 2 0 |
| 40.1 | 11.8 | 2 0 2 |
| 46.5 | 15.2 | 0 0 4 |
| 47.4 | 25.4 | 2 2 0 |
| 58.2 | 14.4 | 3 1 2 |
| 59.3 | 21.9 | 1 3 2 |
| 68.6 | 12.7 | 2 2 4 |